[1]
Tb2TmIn2: computed powder diffraction line list (Cu Kα (λ = 1.5418 Å)), based on DFT lattice parameters and positions (PBE).

Cell and atoms:
```
data_Tb2TmIn2
_chemical_formula_sum 'Tb8 Tm4 In8'
_cell_length_a 3.7311
_cell_length_b 27.7493
_cell_length_c 5.3237
_cell_angle_alpha 90.00
_cell_angle_beta 90.00
_cell_angle_gamma 90.00
_symmetry_space_group_name_H-M 'C m c m'
_symmetry_Int_Tables_number 63
_symmetry_space_group_name_Hall '-C 2c 2'
loop_
_atom_site_label
_atom_site_fract_x
_atom_site_fract_y
_atom_site_fract_z
Tb1 0.0000 0.0472 0.2500
Tb2 0.0000 0.2372 0.2500
Tm1 0.0000 0.1500 0.7500
In1 0.0000 0.3569 0.7500
In2 0.0000 0.4482 0.2500
```

Most intense lines, 15 to 90 degrees two-theta, by intensity:
hkl 1 5 1, 2θ 33.48, rel. 100; hkl 0 0 2, 2θ 33.67, rel. 26; hkl 0 10 0, 2θ 32.26, rel. 24; hkl 1 5 3, 2θ 60.09, rel. 18; hkl 0 10 2, 2θ 47.32, rel. 17; hkl 1 15 1, 2θ 58.31, rel. 14


[2]
Tb5TmIn: computed powder diffraction line list (Cu Kα (λ = 1.5418 Å)), based on DFT lattice parameters and positions (PBE).

Cell and atoms:
```
data_Tb5TmIn
_chemical_formula_sum 'Tb10 Tm2 In2'
_cell_length_a 8.4546
_cell_length_b 11.5392
_cell_length_c 5.8546
_cell_angle_alpha 90.00
_cell_angle_beta 90.00
_cell_angle_gamma 90.00
_symmetry_space_group_name_H-M 'I m m 2'
_symmetry_Int_Tables_number 44
loop_
_symmetry_equiv_pos_as_xyz
'x,y,z'
'-x,-y,z'
'-x,y,z'
'x,-y,z'
'x+1/2,y+1/2,z+1/2'
'-x+1/2,-y+1/2,z+1/2'
'-x+1/2,y+1/2,z+1/2'
'x+1/2,-y+1/2,z+1/2'
loop_
_atom_site_label
_atom_site_fract_x
_atom_site_fract_y
_atom_site_fract_z
Tb1 0.0000 0.0000 0.0000
Tb2 0.0000 0.2498 0.3722
Tb3 0.1723 0.5000 0.7793
Tm1 0.0000 0.0000 0.5104
In1 0.0000 0.5000 0.2604
```

Most intense lines, 15 to 90 degrees two-theta, by intensity:
hkl 0 4 0, 2θ 31.00, rel. 100; hkl 1 1 2, 2θ 33.31, rel. 98; hkl 0 2 0, 2θ 15.36, rel. 92; hkl 1 2 1, 2θ 24.08, rel. 81; hkl 2 0 0, 2θ 21.02, rel. 77; hkl 3 0 1, 2θ 35.35, rel. 61


[3]
Tb7Tm12In: computed powder diffraction line list (Cu Kα (λ = 1.5418 Å)), based on DFT lattice parameters and positions (PBE).

Cell and atoms:
```
data_Tb7Tm12In
_chemical_formula_sum 'Tb21 Tm36 In3'
_cell_length_a 11.8180
_cell_length_b 11.8180
_cell_length_c 15.5314
_cell_angle_alpha 90.00
_cell_angle_beta 90.00
_cell_angle_gamma 120.00
_symmetry_space_group_name_H-M 'R -3'
_symmetry_Int_Tables_number 148
_symmetry_space_group_name_Hall '-R 3'
loop_
_atom_site_label
_atom_site_fract_x
_atom_site_fract_y
_atom_site_fract_z
Tb1 0.0000 0.0000 0.0000
Tb2 0.0584 0.1874 0.2958
Tm1 0.0354 0.4575 0.2142
Tm2 0.0551 0.5833 0.5854
In1 0.0000 0.0000 0.5000
```

Most intense lines, 15 to 90 degrees two-theta, by intensity:
hkl 4 -3 1, 2θ 32.05, rel. 100; hkl 3 1 2, 2θ 33.62, rel. 55; hkl 2 1 4, 2θ 32.68, rel. 53; hkl 0 3 3, 2θ 31.40, rel. 49; hkl 2 0 5, 2θ 33.75, rel. 31; hkl 0 1 5, 2θ 30.06, rel. 30


[4]
Tb6Tm2In: computed powder diffraction line list (Cu Kα (λ = 1.5418 Å)), based on DFT lattice parameters and positions (PBE).

Cell and atoms:
```
data_Tb6Tm2In
_chemical_formula_sum 'Tb12 Tm4 In2'
_cell_length_a 3.4723
_cell_length_b 10.1469
_cell_length_c 15.8326
_cell_angle_alpha 90.00
_cell_angle_beta 90.00
_cell_angle_gamma 90.00
_symmetry_space_group_name_H-M 'I m m m'
_symmetry_Int_Tables_number 71
_symmetry_space_group_name_Hall '-I 2 2'
loop_
_atom_site_label
_atom_site_fract_x
_atom_site_fract_y
_atom_site_fract_z
Tb1 0.0000 0.1633 0.1764
Tb2 0.0000 0.1923 0.5000
Tm1 0.0000 0.5000 0.1555
In1 0.0000 0.0000 0.0000
```

Most intense lines, 15 to 90 degrees two-theta, by intensity:
hkl 0 3 3, 2θ 31.41, rel. 100; hkl 1 0 3, 2θ 30.82, rel. 76; hkl 1 3 0, 2θ 37.11, rel. 45; hkl 0 0 6, 2θ 33.97, rel. 40; hkl 1 3 6, 2θ 51.18, rel. 32; hkl 2 3 3, 2θ 62.67, rel. 28